# 1
# V2CuSe4
Simulated powder X-ray diffraction pattern, copper Kα. Input: a DFT-relaxed cell (PBE, Alexandria).
Kinematic intensities with the Lorentz-polarization factor, no thermal factor.

Structure:
a = 7.391 Å, b = 7.391 Å, c = 10.419 Å
α = 90.00°, β = 90.00°, γ = 90.00°
Space group I4_1/amd (No. 141, origin choice 2)
Inequivalent atoms, fractional coordinates:
V: 0.000 0.000 0.000
Cu: 0.000 0.250 0.375
Se: 0.000 0.013 0.756

Peak list (8 most intense, 5 to 70 degrees two-theta, in order of rising 2θ)
| 2θ/deg | Rel. int. |
| --- | --- |
| 24.11 | 16 |
| 28.35 | 37 |
| 29.64 | 57 |
| 34.32 | 50 |
| 34.43 | 25 |
| 45.08 | 16 |
| 49.38 | 100 |
| 61.53 | 17 |

***

# 2
# InCu2Sn
Simulated powder X-ray diffraction pattern, copper Kα. Input: a DFT-relaxed cell (PBE, Alexandria).
Kinematic intensities with the Lorentz-polarization factor, no thermal factor.

Structure:
a = 4.039 Å, b = 5.417 Å, c = 6.737 Å
α = 90.00°, β = 90.00°, γ = 90.00°
Space group Pmc2_1 (No. 26)
Inequivalent atoms, fractional coordinates:
In: 0.000 0.127 0.000
Cu: 0.000 0.386 0.361
Cu: 0.500 0.118 0.300
Sn: 0.500 0.365 0.666

Peak list (8 most intense, 5 to 70 degrees two-theta, in order of rising 2θ)
| 2θ/deg | Rel. int. |
| --- | --- |
| 30.63 | 68 |
| 34.68 | 91 |
| 35.73 | 68 |
| 38.57 | 65 |
| 42.36 | 100 |
| 43.63 | 46 |
| 44.88 | 47 |
| 58.65 | 32 |

***

# 3
# ZnBi6P2O15
Simulated powder X-ray diffraction pattern, copper Kα. Input: a DFT-relaxed cell (PBE, Alexandria).
Kinematic intensities with the Lorentz-polarization factor, no thermal factor.

Structure:
a = 15.531 Å, b = 5.528 Å, c = 17.241 Å
α = 90.00°, β = 104.39°, γ = 90.00°
Space group C2 (No. 5)
Inequivalent atoms, fractional coordinates:
Zn: 0.186 0.000 0.269
Bi: 0.022 0.577 0.242
Bi: 0.024 0.042 0.904
Bi: 0.068 0.054 0.422
Bi: 0.097 0.548 0.587
Bi: 0.143 0.056 0.744
Bi: 0.211 0.524 0.890
P: 0.140 0.474 0.076
P: 0.210 0.490 0.395
O: 0.000 0.298 0.500
O: 0.000 0.789 0.500
O: 0.028 0.784 0.663
O: 0.035 0.278 0.660
O: 0.054 0.418 0.105
O: 0.067 0.942 0.208
O: 0.093 0.259 0.835
O: 0.096 0.765 0.840
O: 0.143 0.312 0.002
O: 0.145 0.746 0.057
O: 0.168 0.274 0.337
O: 0.170 0.727 0.349
O: 0.175 0.459 0.470
O: 0.187 0.988 0.591
O: 0.207 0.443 0.762
O: 0.223 0.396 0.145

Peak list (8 most intense, 5 to 70 degrees two-theta, in order of rising 2θ)
| 2θ/deg | Rel. int. |
| --- | --- |
| 11.64 | 24 |
| 11.77 | 21 |
| 28.03 | 100 |
| 29.09 | 100 |
| 32.16 | 30 |
| 32.39 | 35 |
| 46.29 | 29 |
| 48.20 | 18 |

***

- What is the formula in the second record?
  InCu2Sn